Diffraction record for Li3Pa3NiSe8. The powder XRD pattern is calculated, not measured: it uses DFT lattice parameters and positions (PBE) and copper Kα.
Neutral-atom scattering factors, no anomalous dispersion.

Peak list (10 most intense, 2θ = 10–90°, sorted by position)
hkl  2θ/deg  I_rel
0 0 1  13.42  70.0
2 2 -1  26.41  43.4
4 0 0  31.77  100.0
4 0 -3  34.63  21.1
2 2 2  45.21  37.2
0 4 0  45.89  35.6
6 2 -1  48.03  18.4
4 4 0  56.90  18.5
0 4 4  74.98  16.1
2 6 -2  75.99  16.2

Cell and atoms:
```
data_Li3Pa3NiSe8
_chemical_formula_sum 'Li6 Pa6 Ni2 Se16'
_cell_length_a 13.697
_cell_length_b 7.911
_cell_length_c 8.024
_cell_angle_alpha 90.00
_cell_angle_beta 124.68
_cell_angle_gamma 90.00
_symmetry_space_group_name_H-M 'C 1 2/m 1'
_symmetry_Int_Tables_number 12
_symmetry_space_group_name_Hall '-C 2y'
loop_
_atom_site_label
_atom_site_fract_x
_atom_site_fract_y
_atom_site_fract_z
Li1 0.000 0.000 0.000
Li2 0.250 0.250 0.000
Pa1 0.000 0.500 0.500
Pa2 0.250 0.250 0.500
Ni1 0.000 0.000 0.500
Se1 0.002 0.236 0.741
Se2 0.237 0.000 0.741
Se3 0.244 0.000 0.231
```

---

Diffraction record for NpAsO6F. The powder XRD pattern is calculated, not measured: it uses DFT lattice parameters and positions (PBE) and copper Kα.
Neutral-atom scattering factors, no anomalous dispersion.

Peak list (10 most intense, 2θ = 10–90°, sorted by position)
hkl  2θ/deg  I_rel
0 0 1  15.90  49.9
1 0 0  17.35  100.0
0 1 0  17.62  83.7
1 0 1  23.74  16.1
1 1 0  24.49  27.1
1 -1 0  25.10  27.9
0 1 2  28.77  41.9
1 1 2  33.75  14.4
1 -1 1  34.10  16.0
-1 2 1  36.77  16.5

Cell and atoms:
```
data_NpAsO6F
_chemical_formula_sum 'Np1 As1 O6 F1'
_cell_length_a 5.113
_cell_length_b 5.641
_cell_length_c 6.240
_cell_angle_alpha 63.29
_cell_angle_beta 89.91
_cell_angle_gamma 88.63
_symmetry_space_group_name_H-M 'P 1'
_symmetry_Int_Tables_number 1
_symmetry_space_group_name_Hall 'P 1'
loop_
_atom_site_label
_atom_site_fract_x
_atom_site_fract_y
_atom_site_fract_z
Np1 0.000 0.000 0.000
As1 0.987 0.248 0.353
O1 0.157 0.532 0.310
O2 0.176 0.988 0.360
O3 0.269 0.210 0.876
O4 0.708 0.817 0.094
O5 0.795 0.291 0.108
O6 0.825 0.194 0.612
F1 0.174 0.752 0.870
```

---

Diffraction record for NdSmAgIr. The powder XRD pattern is calculated, not measured: it uses DFT lattice parameters and positions (PBE) and copper Kα.
Neutral-atom scattering factors, no anomalous dispersion.

Peak list (10 most intense, 2θ = 10–90°, sorted by position)
hkl  2θ/deg  I_rel
1 1 1  21.30  3.7
2 2 0  35.13  100.0
3 1 1  41.45  2.2
4 0 0  50.53  17.8
3 3 1  55.43  1.0
4 2 2  63.03  36.4
5 1 1  67.35  0.8
4 4 0  74.26  11.2
5 3 1  78.29  0.8
6 2 0  84.89  16.1

Cell and atoms:
```
data_NdSmAgIr
_chemical_formula_sum 'Nd4 Sm4 Ag4 Ir4'
_cell_length_a 7.225
_cell_length_b 7.225
_cell_length_c 7.225
_cell_angle_alpha 90.00
_cell_angle_beta 90.00
_cell_angle_gamma 90.00
_symmetry_space_group_name_H-M 'F -4 3 m'
_symmetry_Int_Tables_number 216
_symmetry_space_group_name_Hall 'F -4 2 3'
loop_
_atom_site_label
_atom_site_fract_x
_atom_site_fract_y
_atom_site_fract_z
Nd1 0.000 0.000 0.000
Sm1 0.000 0.000 0.500
Ag1 0.250 0.250 0.250
Ir1 0.250 0.250 0.750
```

---

Diffraction record for Cs5Ge4. The powder XRD pattern is calculated, not measured: it uses DFT lattice parameters and positions (PBE) and copper Kα.
Neutral-atom scattering factors, no anomalous dispersion.

Peak list (10 most intense, 2θ = 10–90°, sorted by position)
hkl  2θ/deg  I_rel
2 0 1  22.34  40.5
3 1 -2  26.61  98.6
1 1 -3  27.44  100.0
0 2 0  27.69  70.7
3 1 0  28.74  39.1
2 2 1  35.86  23.6
3 3 -2  48.33  20.4
1 3 -3  48.83  22.5
4 2 -5  50.35  16.9
6 2 -2  53.95  15.9

Cell and atoms:
```
data_Cs5Ge4
_chemical_formula_sum 'Cs10 Ge8'
_cell_length_a 12.134
_cell_length_b 6.443
_cell_length_c 11.491
_cell_angle_alpha 90.00
_cell_angle_beta 118.75
_cell_angle_gamma 90.00
_symmetry_space_group_name_H-M 'C 1 2/m 1'
_symmetry_Int_Tables_number 12
_symmetry_space_group_name_Hall '-C 2y'
loop_
_atom_site_label
_atom_site_fract_x
_atom_site_fract_y
_atom_site_fract_z
Cs1 0.000 0.000 0.000
Cs2 0.098 0.500 0.838
Cs3 0.205 0.500 0.549
Ge1 0.052 0.000 0.627
Ge2 0.233 0.500 0.211
```

---

Diffraction record for ErPaPd14. The powder XRD pattern is calculated, not measured: it uses DFT lattice parameters and positions (PBE) and copper Kα.
Neutral-atom scattering factors, no anomalous dispersion.

Peak list (10 most intense, 2θ = 10–90°, sorted by position)
hkl  2θ/deg  I_rel
0 0 1  11.29  2.7
1 1 1  24.49  2.6
2 0 2  38.61  100.0
2 2 0  44.14  34.1
0 0 4  46.33  14.8
4 0 0  64.20  11.0
2 2 4  65.91  20.3
4 2 2  77.48  25.4
2 0 6  80.65  11.6
4 0 4  82.77  10.8

Cell and atoms:
```
data_ErPaPd14
_chemical_formula_sum 'Er1 Pa1 Pd14'
_cell_length_a 5.803
_cell_length_b 5.803
_cell_length_c 7.839
_cell_angle_alpha 90.00
_cell_angle_beta 90.00
_cell_angle_gamma 90.00
_symmetry_space_group_name_H-M 'P 4/m m m'
_symmetry_Int_Tables_number 123
_symmetry_space_group_name_Hall '-P 4 2'
loop_
_atom_site_label
_atom_site_fract_x
_atom_site_fract_y
_atom_site_fract_z
Er1 0.000 0.000 0.000
Pa1 0.500 0.500 0.000
Pd1 0.000 0.000 0.500
Pd2 0.000 0.500 0.000
Pd3 0.000 0.500 0.500
Pd4 0.253 0.253 0.254
Pd5 0.500 0.500 0.500
```

---

Diffraction record for Tb4CeNdTm2. The powder XRD pattern is calculated, not measured: it uses DFT lattice parameters and positions (PBE) and copper Kα.
Neutral-atom scattering factors, no anomalous dispersion.

Peak list (10 most intense, 2θ = 10–90°, sorted by position)
hkl  2θ/deg  I_rel
1 1 2  30.81  100.0
2 0 0  35.70  33.8
0 0 4  35.76  16.8
2 2 0  51.41  36.0
1 3 2  61.06  14.3
3 1 2  61.18  28.4
2 2 4  64.18  12.3
3 3 2  83.86  11.8
3 1 6  83.97  5.9
4 2 0  86.66  11.0

Cell and atoms:
```
data_Tb4CeNdTm2
_chemical_formula_sum 'Tb4 Ce1 Nd1 Tm2'
_cell_length_a 5.024
_cell_length_b 5.036
_cell_length_c 10.043
_cell_angle_alpha 90.00
_cell_angle_beta 90.00
_cell_angle_gamma 90.00
_symmetry_space_group_name_H-M 'P m m m'
_symmetry_Int_Tables_number 47
_symmetry_space_group_name_Hall '-P 2 2'
loop_
_atom_site_label
_atom_site_fract_x
_atom_site_fract_y
_atom_site_fract_z
Tb1 0.000 0.000 0.246
Tb2 0.500 0.500 0.247
Ce1 0.000 0.500 0.000
Nd1 0.500 0.000 0.500
Tm1 0.000 0.500 0.500
Tm2 0.500 0.000 0.000
```

---

Diffraction record for Tb3HoTl2S. The powder XRD pattern is calculated, not measured: it uses DFT lattice parameters and positions (PBE) and copper Kα.
Neutral-atom scattering factors, no anomalous dispersion.

Peak list (10 most intense, 2θ = 10–90°, sorted by position)
hkl  2θ/deg  I_rel
1 1 0  24.82  25.3
1 1 2  27.24  54.8
0 1 5  33.10  26.5
1 1 4  33.57  100.0
0 2 0  35.25  32.0
2 0 0  35.51  31.3
0 2 6  49.51  12.8
2 2 0  50.90  22.7
1 3 4  62.20  16.2
3 1 4  62.53  13.8

Cell and atoms:
```
data_Tb3HoTl2S
_chemical_formula_sum 'Tb6 Ho2 Tl4 S2'
_cell_length_a 5.056
_cell_length_b 5.092
_cell_length_c 15.995
_cell_angle_alpha 90.00
_cell_angle_beta 90.00
_cell_angle_gamma 90.00
_symmetry_space_group_name_H-M 'I m m m'
_symmetry_Int_Tables_number 71
_symmetry_space_group_name_Hall '-I 2 2'
loop_
_atom_site_label
_atom_site_fract_x
_atom_site_fract_y
_atom_site_fract_z
Tb1 0.000 0.000 0.000
Tb2 0.000 0.500 0.172
Ho1 0.000 0.000 0.500
Tl1 0.000 0.500 0.368
S1 0.000 0.500 0.000
```

---

Diffraction record for Ce4TmSc3Se8. The powder XRD pattern is calculated, not measured: it uses DFT lattice parameters and positions (PBE) and copper Kα.
Neutral-atom scattering factors, no anomalous dispersion.

Peak list (10 most intense, 2θ = 10–90°, sorted by position)
hkl  2θ/deg  I_rel
0 2 4  31.18  100.0
2 0 5  33.93  6.3
2 0 8  44.14  35.8
2 2 0  45.19  35.9
4 0 4  55.93  18.5
0 4 8  65.02  11.1
2 2 12  73.10  14.3
2 4 4  74.64  15.7
4 2 8  82.70  11.3
6 0 0  83.45  6.0

Cell and atoms:
```
data_Ce4TmSc3Se8
_chemical_formula_sum 'Ce12 Tm3 Sc9 Se24'
_cell_length_a 8.0251
_cell_length_b 8.0251
_cell_length_c 20.3350
_cell_angle_alpha 90.00
_cell_angle_beta 90.00
_cell_angle_gamma 120.00
_symmetry_space_group_name_H-M 'R -3 m'
_symmetry_Int_Tables_number 166
_symmetry_space_group_name_Hall '-R 3 2"'
loop_
_atom_site_label
_atom_site_fract_x
_atom_site_fract_y
_atom_site_fract_z
Ce1 0.0000 0.0000 0.0000
Ce2 0.0000 0.5000 0.0000
Tm1 0.0000 0.0000 0.5000
Sc1 0.0000 0.5000 0.5000
Se1 0.0000 0.0000 0.2411
Se2 0.0051 0.5025 0.7579
```

---

Diffraction record for Pm7Sm3Tm. The powder XRD pattern is calculated, not measured: it uses DFT lattice parameters and positions (PBE) and copper Kα.
Neutral-atom scattering factors, no anomalous dispersion.

Peak list (10 most intense, 2θ = 10–90°, sorted by position)
hkl  2θ/deg  I_rel
2 2 -2  28.71  20.0
0 2 2  29.35  18.7
6 0 0  30.97  51.8
0 0 4  31.68  100.0
6 0 -4  33.27  29.0
2 2 2  33.42  55.6
4 2 -6  50.33  26.1
6 0 4  54.43  22.1
2 2 6  60.28  30.0
6 4 0  60.50  20.0

Cell and atoms:
```
data_Pm7Sm3Tm
_chemical_formula_sum 'Pm28 Sm12 Tm4'
_cell_length_a 19.264
_cell_length_b 7.221
_cell_length_c 12.578
_cell_angle_alpha 90.00
_cell_angle_beta 115.91
_cell_angle_gamma 90.00
_symmetry_space_group_name_H-M 'C 1 2/c 1'
_symmetry_Int_Tables_number 15
_symmetry_space_group_name_Hall '-C 2yc'
loop_
_atom_site_label
_atom_site_fract_x
_atom_site_fract_y
_atom_site_fract_z
Pm1 0.000 0.224 0.250
Pm2 0.161 0.499 0.776
Pm3 0.167 0.246 0.029
Pm4 0.168 0.250 0.529
Sm1 0.000 0.500 0.000
Sm2 0.167 0.002 0.774
Tm1 0.000 0.000 0.000
```

---

Diffraction record for Pr6BiTe4. The powder XRD pattern is calculated, not measured: it uses DFT lattice parameters and positions (PBE) and copper Kα.
Neutral-atom scattering factors, no anomalous dispersion.

Peak list (10 most intense, 2θ = 10–90°, sorted by position)
hkl  2θ/deg  I_rel
0 2 6  26.40  52.6
1 3 1  27.42  70.6
1 3 2  28.26  100.0
1 3 3  29.61  26.6
1 1 7  34.65  29.0
1 1 8  37.96  34.8
1 5 4  40.13  27.2
0 6 4  40.22  38.9
2 0 0  40.57  37.6
2 6 4  58.45  29.1

Cell and atoms:
```
data_Pr6BiTe4
_chemical_formula_sum 'Pr24 Bi4 Te16'
_cell_length_a 4.447
_cell_length_b 14.629
_cell_length_c 22.834
_cell_angle_alpha 90.00
_cell_angle_beta 90.00
_cell_angle_gamma 90.00
_symmetry_space_group_name_H-M 'C m c m'
_symmetry_Int_Tables_number 63
_symmetry_space_group_name_Hall '-C 2c 2'
loop_
_atom_site_label
_atom_site_fract_x
_atom_site_fract_y
_atom_site_fract_z
Pr1 0.000 0.000 0.000
Pr2 0.000 0.162 0.250
Pr3 0.000 0.269 0.602
Pr4 0.000 0.439 0.167
Bi1 0.000 0.176 0.750
Te1 0.000 0.080 0.126
Te2 0.000 0.353 0.036
```

---

Diffraction record for SrCd11. The powder XRD pattern is calculated, not measured: it uses DFT lattice parameters and positions (PBE) and copper Kα.
Neutral-atom scattering factors, no anomalous dispersion.

Peak list (10 most intense, 2θ = 10–90°, sorted by position)
hkl  2θ/deg  I_rel
3 2 1  28.89  23.3
3 1 2  32.71  76.0
4 2 0  33.02  55.5
1 0 3  35.23  25.9
2 1 3  38.32  34.7
5 0 1  38.86  100.0
4 2 2  40.48  34.7
5 5 2  58.78  26.6
7 4 1  62.90  14.8
8 4 0  69.27  14.6

Cell and atoms:
```
data_SrCd11
_chemical_formula_sum 'Sr4 Cd44'
_cell_length_a 12.132
_cell_length_b 12.132
_cell_length_c 7.817
_cell_angle_alpha 90.00
_cell_angle_beta 90.00
_cell_angle_gamma 90.00
_symmetry_space_group_name_H-M 'I 41/a m d'
_symmetry_Int_Tables_number 141
loop_
_symmetry_equiv_pos_as_xyz
'x,y,z'
'-x,-y,-z'
'-y+1/4,x+3/4,z+1/4'
'y+1/4,-x+3/4,-z+1/4'
'-x+1/2,-y,z+1/2'
'x+1/2,y,-z+1/2'
'y+1/4,-x+1/4,z+3/4'
'-y+1/4,x+1/4,-z+3/4'
'x,-y,-z'
'-x,y,z'
'-y+1/4,-x+1/4,-z+3/4'
'y+1/4,x+1/4,z+3/4'
'-x+1/2,y,-z+1/2'
'x+1/2,-y,z+1/2'
'y+1/4,x+3/4,-z+1/4'
'-y+1/4,-x+3/4,z+1/4'
'x+1/2,y+1/2,z+1/2'
'-x+1/2,-y+1/2,-z+1/2'
'-y+3/4,x+1/4,z+3/4'
'y+3/4,-x+1/4,-z+3/4'
'-x,-y+1/2,z'
'x,y+1/2,-z'
'y+3/4,-x+3/4,z+1/4'
'-y+3/4,x+3/4,-z+1/4'
'x+1/2,-y+1/2,-z+1/2'
'-x+1/2,y+1/2,z+1/2'
'-y+3/4,-x+3/4,-z+1/4'
'y+3/4,x+3/4,z+1/4'
'-x,y+1/2,-z'
'x,-y+1/2,z'
'y+3/4,x+1/4,-z+3/4'
'-y+3/4,-x+1/4,z+3/4'
loop_
_atom_site_label
_atom_site_fract_x
_atom_site_fract_y
_atom_site_fract_z
Sr1 0.000 0.250 0.375
Cd1 0.000 0.000 0.000
Cd2 0.000 0.250 0.875
Cd3 0.121 0.047 0.673
```

---

Diffraction record for Tb2HN. The powder XRD pattern is calculated, not measured: it uses DFT lattice parameters and positions (PBE) and copper Kα.
Neutral-atom scattering factors, no anomalous dispersion.

Peak list (10 most intense, 2θ = 10–90°, sorted by position)
hkl  2θ/deg  I_rel
0 0 6  30.13  100.0
0 1 2  31.38  19.8
1 0 4  36.05  28.4
0 1 5  39.22  57.0
1 0 7  46.81  14.1
1 1 0  52.68  25.6
1 0 10  60.50  13.1
1 1 6  61.91  33.6
0 1 11  65.55  16.5
2 0 5  67.61  11.2

Cell and atoms:
```
data_Tb2HN
_chemical_formula_sum 'Tb6 H3 N3'
_cell_length_a 3.4750
_cell_length_b 3.4750
_cell_length_c 17.7726
_cell_angle_alpha 90.00
_cell_angle_beta 90.00
_cell_angle_gamma 120.00
_symmetry_space_group_name_H-M 'R 3 m'
_symmetry_Int_Tables_number 160
_symmetry_space_group_name_Hall 'R 3 -2"'
loop_
_atom_site_label
_atom_site_fract_x
_atom_site_fract_y
_atom_site_fract_z
Tb1 0.0000 0.0000 0.0000
Tb2 0.0000 0.0000 0.1844
H1 0.0000 0.0000 0.4149
N1 0.0000 0.0000 0.5901
```

---

Diffraction record for TbSm4Dy2Ho. The powder XRD pattern is calculated, not measured: it uses DFT lattice parameters and positions (PBE) and copper Kα.
Neutral-atom scattering factors, no anomalous dispersion.

Peak list (10 most intense, 2θ = 10–90°, sorted by position)
hkl  2θ/deg  I_rel
1 1 1  30.56  100.0
1 1 -3  35.40  33.8
2 0 2  35.50  16.8
0 2 0  50.92  18.1
1 1 5  51.04  18.0
0 2 4  60.53  21.6
4 0 0  60.66  17.9
2 2 2  63.56  9.3
4 2 0  83.02  7.4
5 1 1  85.78  8.3

Cell and atoms:
```
data_TbSm4Dy2Ho
_chemical_formula_sum 'Tb1 Sm4 Dy2 Ho1'
_cell_length_a 6.207
_cell_length_b 3.590
_cell_length_c 11.864
_cell_angle_alpha 90.00
_cell_angle_beta 100.20
_cell_angle_gamma 90.00
_symmetry_space_group_name_H-M 'P 1 2/m 1'
_symmetry_Int_Tables_number 10
_symmetry_space_group_name_Hall '-P 2y'
loop_
_atom_site_label
_atom_site_fract_x
_atom_site_fract_y
_atom_site_fract_z
Tb1 0.000 0.000 0.000
Sm1 0.250 0.000 0.750
Sm2 0.250 0.500 0.250
Dy1 0.500 0.000 0.500
Dy2 0.500 0.500 0.000
Ho1 0.000 0.500 0.500
```